Simulated X-ray diffraction stick pattern of Ba4U3CdO12 for Cu Kα, from DFT lattice parameters and positions (GGA-PBE).
No peak broadening, texture or thermal motion is included.

Structural model:
Unit cell a=8.8418 b=8.8418 c=8.8418 alpha=90.00 beta=90.00 gamma=90.00
Space group Im-3m (No. 229)
One atom of each set of equivalent atoms:
Ba: 0.2500 0.2500 0.2500 (multiplicity 8)
U: 0.0000 0.0000 0.5000 (multiplicity 6)
Cd: 0.0000 0.0000 0.0000 (multiplicity 2)
O: 0.0000 0.0000 0.2635 (multiplicity 12)
O: 0.0000 0.2500 0.5000 (multiplicity 12)

The 10 most intense peaks (2θ from 10° to 80°), sorted by position:
(hkl), two_theta, d_spacing, I_rel
1 1 0, 14.17, 6.252, 4.2
2 0 0, 20.09, 4.421, 8.3
2 1 1, 24.66, 3.610, 2.4
2 2 0, 28.55, 3.126, 100.0
4 0 0, 40.82, 2.210, 28.0
4 2 0, 45.90, 1.977, 4.0
4 2 2, 50.57, 1.805, 42.3
4 4 0, 59.11, 1.563, 18.3
6 2 0, 66.93, 1.398, 19.0
4 4 4, 74.32, 1.276, 6.2